# TiBOs
Computed X-ray diffraction stick pattern, CuKα. Input: a structure optimized by DFT (PBE).

Main lines, in order of rising 2θ (15 to 90 degrees two-theta):
| two_theta | intensity |
| --- | --- |
| 31.75 | 19 |
| 33.82 | 53 |
| 38.58 | 72 |
| 41.44 | 100 |
| 42.32 | 60 |
| 48.12 | 22 |
| 50.62 | 14 |
| 61.61 | 14 |
| 71.13 | 14 |
| 71.92 | 23 |
| 72.98 | 23 |
| 76.58 | 21 |

Unit cell a=7.386 b=7.386 c=3.061 alpha=90.00 beta=90.00 gamma=155.17
Fractional coordinates of all 6 atoms:
Ti (0.087, 0.913, 0.750)
Ti (0.913, 0.087, 0.250)
B (0.466, 0.534, 0.750)
B (0.534, 0.466, 0.250)
Os (0.308, 0.692, 0.750)
Os (0.692, 0.308, 0.250)

# VB4Os
Computed X-ray diffraction stick pattern, CuKα. Input: a structure optimized by DFT (PBE).

Main lines, in order of rising 2θ (15 to 90 degrees two-theta):
| two_theta | intensity |
| --- | --- |
| 23.86 | 54 |
| 36.07 | 51 |
| 38.10 | 100 |
| 43.71 | 40 |
| 51.97 | 51 |
| 62.20 | 18 |
| 64.85 | 16 |
| 70.15 | 17 |
| 74.08 | 12 |
| 77.76 | 13 |
| 85.23 | 14 |
| 87.64 | 12 |

Unit cell a=2.876 b=2.876 c=7.459 alpha=90.00 beta=90.00 gamma=120.00
Fractional coordinates of all 6 atoms:
V (0.000, 0.000, 0.000)
B (0.000, 0.000, 0.291)
B (0.000, 0.000, 0.709)
B (0.333, 0.667, 0.203)
B (0.333, 0.667, 0.797)
Os (0.333, 0.667, 0.500)

# Y3B6Os8
Computed X-ray diffraction stick pattern, CuKα. Input: a structure optimized by DFT (PBE).

Main lines, in order of rising 2θ (15 to 90 degrees two-theta):
| two_theta | intensity |
| --- | --- |
| 18.54 | 15 |
| 30.33 | 26 |
| 31.45 | 19 |
| 35.79 | 24 |
| 37.56 | 100 |
| 41.46 | 11 |
| 44.95 | 14 |
| 49.02 | 48 |
| 67.78 | 19 |
| 75.81 | 21 |
| 76.04 | 12 |
| 80.17 | 11 |

Unit cell a=10.053 b=9.263 c=5.529 alpha=81.41 beta=65.65 gamma=32.94
Fractional coordinates of all 17 atoms:
Y (0.000, 0.000, 0.000)
Y (0.180, 0.180, 0.820)
Y (0.820, 0.820, 0.180)
B (0.176, 0.474, 0.526)
B (0.317, 0.683, 0.317)
B (0.474, 0.176, 0.824)
B (0.526, 0.824, 0.176)
B (0.683, 0.317, 0.683)
B (0.824, 0.526, 0.474)
Os (0.090, 0.090, 0.410)
Os (0.250, 0.250, 0.250)
Os (0.410, 0.410, 0.090)
Os (0.421, 0.421, 0.579)
Os (0.579, 0.579, 0.421)
Os (0.590, 0.590, 0.910)
Os (0.750, 0.750, 0.750)
Os (0.910, 0.910, 0.590)

# BP3
Computed X-ray diffraction stick pattern, CuKα. Input: a structure optimized by DFT (PBE).

Main lines, in order of rising 2θ (15 to 90 degrees two-theta):
| two_theta | intensity |
| --- | --- |
| 27.01 | 45 |
| 31.76 | 41 |
| 32.74 | 17 |
| 36.41 | 100 |
| 38.97 | 18 |
| 45.18 | 15 |
| 48.75 | 16 |
| 55.96 | 40 |
| 56.61 | 23 |
| 60.87 | 16 |
| 63.21 | 20 |
| 68.62 | 14 |

Unit cell a=6.870 b=6.870 c=6.870 alpha=27.67 beta=27.67 gamma=27.67
Fractional coordinates of all 4 atoms:
B (0.000, 0.000, 0.000)
P (0.099, 0.099, 0.099)
P (0.303, 0.303, 0.303)
P (0.825, 0.825, 0.825)

# B3P2
Computed X-ray diffraction stick pattern, CuKα. Input: a structure optimized by DFT (PBE).

Main lines, in order of rising 2θ (15 to 90 degrees two-theta):
| two_theta | intensity |
| --- | --- |
| 20.62 | 81 |
| 25.06 | 68 |
| 30.47 | 87 |
| 32.34 | 100 |
| 33.09 | 79 |
| 41.34 | 33 |
| 41.61 | 78 |
| 45.59 | 31 |
| 47.65 | 47 |
| 58.63 | 41 |
| 59.23 | 45 |
| 73.18 | 28 |

Unit cell a=4.749 b=4.749 c=4.749 alpha=140.35 beta=83.11 gamma=110.49
Fractional coordinates of all 5 atoms:
B (0.000, 0.000, 0.000)
B (0.257, 0.032, 0.225)
B (0.807, 0.032, 0.775)
P (0.220, 0.387, 0.833)
P (0.554, 0.387, 0.167)

# B3P2
Computed X-ray diffraction stick pattern, CuKα. Input: a structure optimized by DFT (PBE).

Main lines, in order of rising 2θ (15 to 90 degrees two-theta):
| two_theta | intensity |
| --- | --- |
| 29.16 | 80 |
| 30.73 | 87 |
| 33.25 | 100 |
| 34.79 | 38 |
| 37.50 | 34 |
| 37.99 | 88 |
| 42.04 | 35 |
| 47.75 | 25 |
| 55.21 | 33 |
| 59.90 | 43 |
| 65.39 | 30 |
| 66.69 | 23 |

Unit cell a=3.353 b=3.353 c=6.321 alpha=102.71 beta=102.71 gamma=54.01
Fractional coordinates of all 5 atoms:
B (0.000, 0.000, 0.000)
B (0.508, 0.508, 0.873)
B (0.802, 0.802, 0.457)
P (0.503, 0.503, 0.565)
P (0.757, 0.757, 0.142)

# BP3
Computed X-ray diffraction stick pattern, CuKα. Input: a structure optimized by DFT (PBE).

Main lines, in order of rising 2θ (15 to 90 degrees two-theta):
| two_theta | intensity |
| --- | --- |
| 28.88 | 24 |
| 34.44 | 100 |
| 42.99 | 29 |
| 43.93 | 4 |
| 54.83 | 24 |
| 55.43 | 28 |
| 63.70 | 12 |
| 66.92 | 13 |
| 69.00 | 12 |
| 72.61 | 6 |
| 73.29 | 5 |
| 81.76 | 8 |

Unit cell a=3.315 b=3.315 c=6.183 alpha=90.00 beta=90.00 gamma=120.00
Fractional coordinates of all 4 atoms:
B (0.000, 0.000, 0.000)
P (0.000, 0.000, 0.683)
P (0.333, 0.667, 0.494)
P (0.667, 0.333, 0.097)

# BP3
Computed X-ray diffraction stick pattern, CuKα. Input: a structure optimized by DFT (PBE).

Main lines, in order of rising 2θ (15 to 90 degrees two-theta):
| two_theta | intensity |
| --- | --- |
| 30.47 | 48 |
| 34.48 | 100 |
| 36.14 | 20 |
| 41.33 | 25 |
| 42.94 | 10 |
| 44.32 | 19 |
| 55.58 | 15 |
| 56.01 | 18 |
| 56.39 | 12 |
| 56.96 | 18 |
| 58.27 | 12 |
| 70.98 | 11 |

Unit cell a=3.330 b=3.330 c=5.361 alpha=99.31 beta=99.31 gamma=78.45
Fractional coordinates of all 4 atoms:
B (0.000, 0.000, 0.000)
P (0.423, 0.577, 0.500)
P (0.551, 0.010, 0.213)
P (0.990, 0.449, 0.787)

- What is the formula in the eighth record?
  BP3